1.
This entry pairs a crystal structure of Ti2Nb3Al3 with its computed powder diffraction line list. Radiation: Cu Kα X-rays. Structure: a structure optimized by DFT (GGA-PBE).

Structural model:
Cell lengths 3.7494, 4.2310, 8.5263 Å; angles 90.00, 90.00, 90.00 degrees
Fractional coordinates of all 8 atoms:
1 Ti 0.0000 0.0000 0.2469
2 Ti 0.0000 0.0000 0.7531
3 Nb 0.0000 0.5000 0.5000
4 Nb 0.5000 0.5000 0.2511
5 Nb 0.5000 0.5000 0.7489
6 Al 0.0000 0.5000 0.0000
7 Al 0.5000 0.0000 0.0000
8 Al 0.5000 0.0000 0.5000

Largest 6 diffraction maxima, in order of rising 2θ, 2θ from 10° to 80°:
- d 4.231, rel. 151
- d 2.344, rel. 1000
- d 2.132, rel. 187
- d 2.115, rel. 183
- d 1.268, rel. 130
- d 1.261, rel. 129


2.
This entry pairs a crystal structure of Ti4Nb3Al9 with its computed powder diffraction line list. Radiation: Cu Kα X-rays. Structure: a structure optimized by DFT (GGA-PBE).

Structural model:
Cell lengths 5.6600, 5.6600, 8.1723 Å; angles 90.00, 90.00, 90.00 degrees
Fractional coordinates of all 16 atoms:
1 Ti 0.0000 0.0000 0.0000
2 Ti 0.0000 0.5000 0.5000
3 Ti 0.5000 0.0000 0.5000
4 Ti 0.5000 0.5000 0.0000
5 Nb 0.0000 0.0000 0.5000
6 Nb 0.0000 0.5000 0.0000
7 Nb 0.5000 0.0000 0.0000
8 Al 0.2495 0.2495 0.2502
9 Al 0.2495 0.2495 0.7498
10 Al 0.2495 0.7505 0.2502
11 Al 0.2495 0.7505 0.7498
12 Al 0.5000 0.5000 0.5000
13 Al 0.7505 0.2495 0.2502
14 Al 0.7505 0.2495 0.7498
15 Al 0.7505 0.7505 0.2502
16 Al 0.7505 0.7505 0.7498

Largest 6 diffraction maxima, in order of rising 2θ, 2θ from 10° to 80°:
- d 4.086, rel. 183
- d 2.327, rel. 1000
- d 2.043, rel. 167
- d 2.001, rel. 313
- d 1.430, rel. 201
- d 1.209, rel. 226


3.
This entry pairs a crystal structure of Ti3Nb3Al with its computed powder diffraction line list. Radiation: Cu Kα X-rays. Structure: a structure optimized by DFT (GGA-PBE).

Structural model:
Cell lengths 6.4141, 6.4141, 6.4141 Å; angles 101.06, 101.06, 101.06 degrees
Fractional coordinates of all 14 atoms:
1 Ti 0.1675 0.8425 0.9900
2 Ti 0.3425 0.6675 0.4900
3 Ti 0.4900 0.3425 0.6675
4 Ti 0.6675 0.4900 0.3425
5 Ti 0.8425 0.9900 0.1675
6 Ti 0.9900 0.1675 0.8425
7 Nb 0.0221 0.4317 0.5939
8 Nb 0.0939 0.9317 0.5221
9 Nb 0.4317 0.5939 0.0221
10 Nb 0.5221 0.0939 0.9317
11 Nb 0.5939 0.0221 0.4317
12 Nb 0.9317 0.5221 0.0939
13 Al 0.2521 0.2521 0.2521
14 Al 0.7521 0.7521 0.7521

Largest 6 diffraction maxima, in order of rising 2θ, 2θ from 10° to 80°:
- d 3.057, rel. 349
- d 2.601, rel. 187
- d 2.507, rel. 613
- d 2.295, rel. 1000
- d 2.088, rel. 343
- d 1.407, rel. 186


4.
This entry pairs a crystal structure of TiNb6Al with its computed powder diffraction line list. Radiation: Cu Kα X-rays. Structure: a structure optimized by DFT (GGA-PBE).

Structural model:
Cell lengths 5.6838, 5.6838, 4.6342 Å; angles 90.00, 90.00, 108.44 degrees
Fractional coordinates of all 8 atoms:
1 Ti 0.0000 0.0000 0.0000
2 Nb 0.0000 0.5000 0.0000
3 Nb 0.2360 0.2360 0.5000
4 Nb 0.2550 0.7450 0.5000
5 Nb 0.5000 0.0000 0.0000
6 Nb 0.7450 0.2550 0.5000
7 Nb 0.7640 0.7640 0.5000
8 Al 0.5000 0.5000 0.0000

Largest 6 diffraction maxima, in order of rising 2θ, 2θ from 10° to 80°:
- d 2.330, rel. 1000
- d 2.317, rel. 248
- d 2.306, rel. 244
- d 1.634, rel. 163
- d 1.340, rel. 163
- d 1.336, rel. 159


> Which formula does entry 4 have?

TiNb6Al